Diffraction record for BiP4HO12. The powder diffractogram is computed, not measured: it uses a cell relaxed with PBE and CuKα.
Lines closer than 0.1° are merged.

Structural model:
```
BiP4HO12
1.0
7.2706 0.0000 0.0000
-2.4475 8.4366 0.0000
-3.3820 -2.5397 7.9344
Bi P H O
2 8 2 24
direct
0.0947 0.2684 0.2598
0.9053 0.7316 0.7402
0.0665 0.3765 0.6565
0.2025 0.1833 0.8906
0.3906 0.7079 0.4215
0.4247 0.8626 0.1540
0.5753 0.1374 0.8460
0.6094 0.2921 0.5785
0.7975 0.8167 0.1094
0.9335 0.6235 0.3435
0.4969 0.1280 0.2560
0.5031 0.8720 0.7440
0.0515 0.0201 0.7580
0.1003 0.5576 0.6990
0.1546 0.3374 0.8339
0.1575 0.3082 0.5482
0.1867 0.7388 0.4292
0.1940 0.7871 0.0328
0.2296 0.2087 0.0673
0.3313 0.5364 0.3114
0.4395 0.2329 0.3977
0.4431 0.2255 0.9055
0.4571 0.9477 0.8082
0.4690 0.8450 0.3372
0.5310 0.1550 0.6628
0.5429 0.0523 0.1918
0.5569 0.7745 0.0945
0.5605 0.7671 0.6023
0.6687 0.4636 0.6886
0.7704 0.7913 0.9327
0.8060 0.2129 0.9672
0.8133 0.2612 0.5708
0.8425 0.6918 0.4518
0.8454 0.6626 0.1661
0.8997 0.4424 0.3010
0.9485 0.9799 0.2420
```

Principal peaks in the range 5° ≤ 2θ ≤ 70°, sorted by position:
2θ/deg  I (rel.)
13.1  98
14.2  57
20.0  64
20.5  70
22.1  100
26.5  57

---

Diffraction record for PaBiH2O6. The powder diffractogram is computed, not measured: it uses a cell relaxed with PBE and CuKα.
Lines closer than 0.1° are merged.

Structural model:
```
PaBiH2O6
1.0
5.1596 0.0000 0.0000
2.0859 4.7242 0.0000
2.0749 1.7676 5.1931
Pa Bi H O
1 1 2 6
direct
0.0000 0.0000 0.0000
0.5000 0.5000 0.5000
0.4001 0.1820 0.2748
0.5999 0.8180 0.7252
0.1254 0.3817 0.7542
0.2563 0.8977 0.2599
0.4315 0.7536 0.7507
0.5685 0.2464 0.2493
0.7437 0.1023 0.7401
0.8746 0.6183 0.2458
```

Principal peaks in the range 5° ≤ 2θ ≤ 70°, sorted by position:
2θ/deg  I (rel.)
21.6  100
22.8  88
23.2  82
28.6  50
30.3  42
31.4  41

---

Diffraction record for Pm2BiHO. The powder diffractogram is computed, not measured: it uses a cell relaxed with PBE and CuKα.
Lines closer than 0.1° are merged.

Structural model:
```
Pm2BiHO
1.0
-2.0117 2.0117 6.3128
2.0117 -2.0117 6.3128
2.0117 2.0117 -6.3128
Pm Bi H O
2 1 1 1
direct
0.1533 0.1533 0.0000
0.8467 0.8467 0.0000
0.5000 0.5000 0.0000
0.7500 0.2500 0.5000
0.2500 0.7500 0.5000
```

Principal peaks in the range 5° ≤ 2θ ≤ 70°, sorted by position:
2θ/deg  I (rel.)
30.7  100
31.4  45
45.1  20
54.2  20
55.5  38
64.0  11

---

Diffraction record for Bi2HRuO8. The powder diffractogram is computed, not measured: it uses a cell relaxed with PBE and CuKα.
Lines closer than 0.1° are merged.

Structural model:
```
Bi2HRuO8
1.0
4.5840 0.0000 0.0000
-0.7159 4.5676 0.0000
-0.0061 -0.0091 7.1948
Bi H Ru O
2 1 1 8
direct
0.0005 0.0001 0.2329
0.9995 0.9999 0.7671
0.5000 0.5000 0.0000
0.5000 0.5000 0.5000
0.2466 0.1377 0.5005
0.2723 0.6340 0.3103
0.2745 0.6358 0.6900
0.2900 0.2701 0.9997
0.7100 0.7299 0.0003
0.7255 0.3642 0.3100
0.7277 0.3660 0.6897
0.7534 0.8623 0.4995
```

Principal peaks in the range 5° ≤ 2θ ≤ 70°, sorted by position:
2θ/deg  I (rel.)
19.4  47
19.6  50
25.5  97
29.9  61
31.7  81
31.8  100

---

Diffraction record for Bi2H6Os. The powder diffractogram is computed, not measured: it uses a cell relaxed with PBE and CuKα.
Lines closer than 0.1° are merged.

Structural model:
```
Bi2H6Os
1.0
6.3773 0.0000 0.0000
0.0000 8.3117 0.0000
0.0000 0.0000 4.4710
Bi H Os
4 12 2
direct
0.0566 0.2222 0.0000
0.4434 0.7222 0.0000
0.5566 0.2778 0.0000
0.9434 0.7778 0.0000
0.1374 0.8247 0.5000
0.2213 0.0361 0.2971
0.2213 0.0361 0.7029
0.2787 0.5361 0.2971
0.2787 0.5361 0.7029
0.3626 0.3247 0.5000
0.6374 0.6753 0.5000
0.7213 0.4639 0.2971
0.7213 0.4639 0.7029
0.7787 0.9639 0.2971
0.7787 0.9639 0.7029
0.8626 0.1753 0.5000
0.0000 0.0000 0.5000
0.5000 0.5000 0.5000
```

Principal peaks in the range 5° ≤ 2θ ≤ 70°, sorted by position:
2θ/deg  I (rel.)
17.5  68
28.0  41
29.3  100
36.3  25
40.8  36
41.0  58

---

Diffraction record for BiPH. The powder diffractogram is computed, not measured: it uses a cell relaxed with PBE and CuKα.
Lines closer than 0.1° are merged.

Structural model:
```
BiPH
1.0
2.1088 -6.7293 0.0000
2.1088 6.7293 0.0000
0.0000 0.0000 4.1606
Bi P H
2 2 2
direct
0.1132 0.8868 0.5000
0.8868 0.1132 0.0000
0.3458 0.6542 0.5994
0.6542 0.3458 0.0994
0.4462 0.5538 0.4725
0.5538 0.4462 0.9725
```

Principal peaks in the range 5° ≤ 2θ ≤ 70°, sorted by position:
2θ/deg  I (rel.)
22.1  78
25.2  100
26.5  67
30.9  92
36.3  81
39.7  36

---

Diffraction record for BiPH2S4. The powder diffractogram is computed, not measured: it uses a cell relaxed with PBE and CuKα.
Lines closer than 0.1° are merged.

Structural model:
```
BiPH2S4
1.0
4.1065 -6.0742 0.0000
4.1065 6.0742 0.0000
-4.0349 0.0000 5.9033
Bi P H S
2 2 4 8
direct
0.0000 0.5000 0.0000
0.5000 0.0000 0.5000
0.0000 0.0000 0.0000
0.0000 0.0000 0.5000
0.0000 0.5000 0.5000
0.5000 0.0000 0.0000
0.5000 0.5000 0.0000
0.5000 0.5000 0.5000
0.1200 0.7173 0.4729
0.2531 0.2809 0.9313
0.2809 0.2531 0.4313
0.2827 0.8800 0.0271
0.7173 0.1200 0.9729
0.7191 0.7469 0.5687
0.7469 0.7191 0.0687
0.8800 0.2827 0.5271
```

Principal peaks in the range 5° ≤ 2θ ≤ 70°, sorted by position:
2θ/deg  I (rel.)
14.6  39
15.1  100
25.7  27
29.4  33
30.3  47
34.3  30

---

Diffraction record for U2BiPH2. The powder diffractogram is computed, not measured: it uses a cell relaxed with PBE and CuKα.
Lines closer than 0.1° are merged.

Structural model:
```
U2BiPH2
1.0
3.8600 0.0000 0.0000
-1.9300 3.3429 0.0000
0.0000 0.0000 8.0584
U Bi P H
2 1 1 2
direct
0.3333 0.6667 0.2118
0.6667 0.3333 0.7882
0.0000 0.0000 0.5000
0.0000 0.0000 0.0000
0.3333 0.6667 0.7653
0.6667 0.3333 0.2347
```

Principal peaks in the range 5° ≤ 2θ ≤ 70°, sorted by position:
2θ/deg  I (rel.)
28.9  100
34.9  72
47.1  33
56.2  17
58.9  17
59.9  15

---

Diffraction record for Pa4Bi2H9. The powder diffractogram is computed, not measured: it uses a cell relaxed with PBE and CuKα.
Lines closer than 0.1° are merged.

Structural model:
```
Pa4Bi2H9
1.0
3.4065 -1.9128 0.0000
3.4065 1.9128 0.0000
-0.2909 0.0000 15.2988
Pa Bi H
4 2 9
direct
0.0000 0.0000 0.0000
0.0098 0.0098 0.3034
0.6473 0.6473 0.4966
0.6651 0.6651 0.7997
0.6739 0.6739 0.1500
0.9894 0.9894 0.6492
0.3205 0.3205 0.5177
0.3308 0.3308 0.0139
0.3342 0.3342 0.7854
0.3378 0.3378 0.2698
0.4368 0.4368 0.3860
0.6674 0.6674 0.9491
0.7047 0.7047 0.3501
0.9869 0.9869 0.4516
0.9975 0.9975 0.8504
```

Principal peaks in the range 5° ≤ 2θ ≤ 70°, sorted by position:
2θ/deg  I (rel.)
26.7  36
31.3  34
31.9  100
32.2  71
35.2  30
46.5  35

---

Diffraction record for Pa4Bi2H. The powder diffractogram is computed, not measured: it uses a cell relaxed with PBE and CuKα.
Lines closer than 0.1° are merged.

Structural model:
```
Pa4Bi2H
1.0
-2.3024 2.3024 8.1251
2.3024 -2.3024 8.1251
2.3024 2.3024 -8.1251
Pa Bi H
4 2 1
direct
0.0000 0.5000 0.5000
0.1492 0.1492 0.0000
0.5000 0.0000 0.5000
0.8508 0.8508 0.0000
0.3497 0.3497 0.0000
0.6503 0.6503 0.0000
0.0000 0.0000 0.0000
```

Principal peaks in the range 5° ≤ 2θ ≤ 70°, sorted by position:
2θ/deg  I (rel.)
29.6  61
33.1  29
35.3  100
39.1  50
52.1  33
68.4  31

---

Diffraction record for PaBi2H. The powder diffractogram is computed, not measured: it uses a cell relaxed with PBE and CuKα.
Lines closer than 0.1° are merged.

Structural model:
```
PaBi2H
1.0
2.9823 -1.7183 0.0000
2.9823 1.7183 0.0000
-1.7257 0.0000 9.4493
Pa Bi H
1 2 1
direct
0.0000 0.0000 0.0000
0.2454 0.2454 0.6920
0.4218 0.4218 0.2963
0.6397 0.6397 0.9062
```

Principal peaks in the range 5° ≤ 2θ ≤ 70°, sorted by position:
2θ/deg  I (rel.)
28.3  80
30.2  55
32.5  77
33.6  51
34.2  100
53.3  54

---

Diffraction record for Pa2BiH2. The powder diffractogram is computed, not measured: it uses a cell relaxed with PBE and CuKα.
Lines closer than 0.1° are merged.

Structural model:
```
Pa2BiH2
1.0
0.0000 5.1640 5.7165
3.0560 0.0000 5.7165
3.0560 5.1640 0.0000
Pa Bi H
4 2 4
direct
0.0477 0.7023 0.0477
0.2977 0.9523 0.2977
0.7023 0.0477 0.7023
0.9523 0.2977 0.9523
0.3750 0.3750 0.3750
0.6250 0.6250 0.6250
0.0041 0.0041 0.2459
0.2459 0.2459 0.0041
0.7541 0.7541 0.9959
0.9959 0.9959 0.7541
```

Principal peaks in the range 5° ≤ 2θ ≤ 70°, sorted by position:
2θ/deg  I (rel.)
30.8  100
31.3  48
33.2  84
38.2  58
50.2  27
52.8  23

---

Please write out number 12 again, unchanged.
Diffraction record for Pa2BiH2. The powder diffractogram is computed, not measured: it uses a cell relaxed with PBE and CuKα.
Lines closer than 0.1° are merged.

Structural model:
```
Pa2BiH2
1.0
0.0000 5.1640 5.7165
3.0560 0.0000 5.7165
3.0560 5.1640 0.0000
Pa Bi H
4 2 4
direct
0.0477 0.7023 0.0477
0.2977 0.9523 0.2977
0.7023 0.0477 0.7023
0.9523 0.2977 0.9523
0.3750 0.3750 0.3750
0.6250 0.6250 0.6250
0.0041 0.0041 0.2459
0.2459 0.2459 0.0041
0.7541 0.7541 0.9959
0.9959 0.9959 0.7541
```

Principal peaks in the range 5° ≤ 2θ ≤ 70°, sorted by position:
2θ/deg  I (rel.)
30.8  100
31.3  48
33.2  84
38.2  58
50.2  27
52.8  23